Entry 1:
Structure and calculated powder X-ray diffraction pattern of RbHg2Se (DFT lattice parameters and positions (PBE); Cu Kα (weighted mean of Kα1 and Kα2)).
Kinematic intensities with the Lorentz-polarization factor, no thermal factor.

Main lines, sorted by position (15 to 90 degrees two-theta):
Position (°2θ)	d_spacing	intensity
23.95	3.715	10.8
25.82	3.451	35.7
28.34	3.149	31.4
31.23	2.864	100.0
36.41	2.467	17.6
38.43	2.342	17.6
38.71	2.326	30.2
40.82	2.211	12.5
42.36	2.134	14.5
49.04	1.858	18.3

Structure:
```
RbHg2Se
1.0
0.000 6.901 4.667
4.267 0.000 4.667
4.267 6.901 0.000
Rb Hg Se
2 4 2
Direct
0.000 0.000 0.500 Rb
0.500 0.500 0.000 Rb
0.019 0.019 0.981 Hg
0.136 0.573 0.864 Hg
0.573 0.136 0.427 Hg
0.633 0.633 0.367 Hg
0.102 0.388 0.612 Se
0.388 0.102 0.898 Se
```



Entry 2:
Structure and calculated powder X-ray diffraction pattern of Li8Cd2Rh (DFT lattice parameters and positions (PBE); Cu Kα (weighted mean of Kα1 and Kα2)).
Kinematic intensities with the Lorentz-polarization factor, no thermal factor.

Main lines, sorted by position (15 to 90 degrees two-theta):
Position (°2θ)	d_spacing	intensity
15.12	5.861	100.0
27.01	3.301	20.9
27.60	3.232	16.3
29.39	3.039	13.9
33.78	2.653	14.3
37.08	2.424	10.9
37.65	2.389	16.1
38.08	2.363	16.0
40.34	2.236	14.3
45.66	1.987	10.1

Structure:
```
Li8Cd2Rh
1.0
6.562 -3.301 0.000
6.562 3.301 0.000
-1.257 0.000 4.975
Li Cd Rh
8 2 1
Direct
0.142 0.743 0.705 Li
0.155 0.155 0.843 Li
0.257 0.858 0.295 Li
0.288 0.288 0.416 Li
0.712 0.712 0.584 Li
0.743 0.142 0.705 Li
0.845 0.845 0.157 Li
0.858 0.257 0.295 Li
0.381 0.381 0.983 Cd
0.619 0.619 0.017 Cd
0.500 0.500 0.500 Rh
```



Entry 3:
Structure and calculated powder X-ray diffraction pattern of PmNd3Cu3 (DFT lattice parameters and positions (PBE); Cu Kα (weighted mean of Kα1 and Kα2)).
Kinematic intensities with the Lorentz-polarization factor, no thermal factor.

Main lines, sorted by position (15 to 90 degrees two-theta):
Position (°2θ)	d_spacing	intensity
24.96	3.568	44.3
28.16	3.169	67.9
29.02	3.077	33.3
29.82	2.996	37.7
31.55	2.835	52.4
31.74	2.819	68.7
33.80	2.652	65.1
35.62	2.520	100.0
37.33	2.409	77.5
55.02	1.669	33.0

Structure:
```
PmNd3Cu3
1.0
4.823 -5.304 0.000
4.823 5.304 0.000
-0.118 0.000 7.034
Pm Nd Cu
2 6 6
Direct
0.245 0.245 0.370 Pm
0.755 0.755 0.630 Pm
0.153 0.153 0.874 Nd
0.240 0.760 0.500 Nd
0.326 0.674 0.000 Nd
0.674 0.326 0.000 Nd
0.760 0.240 0.500 Nd
0.847 0.847 0.126 Nd
0.005 0.517 0.796 Cu
0.442 0.442 0.672 Cu
0.483 0.995 0.204 Cu
0.517 0.005 0.796 Cu
0.558 0.558 0.328 Cu
0.995 0.483 0.204 Cu
```



Entry 4:
Structure and calculated powder X-ray diffraction pattern of K4RhCl6 (DFT lattice parameters and positions (PBE); Cu Kα (weighted mean of Kα1 and Kα2)).
Kinematic intensities with the Lorentz-polarization factor, no thermal factor.

Main lines, sorted by position (15 to 90 degrees two-theta):
Position (°2θ)	d_spacing	intensity
29.48	3.030	20.0
31.06	2.879	90.1
32.51	2.754	30.3
33.05	2.711	100.0
34.66	2.588	14.6
39.29	2.293	17.8
41.40	2.181	26.0
47.45	1.916	21.4
49.53	1.840	14.9
53.97	1.699	33.2

Structure:
```
K4RhCl6
1.0
8.569 0.000 0.000
0.000 8.569 0.000
0.000 0.000 8.725
K Rh Cl
8 2 12
Direct
0.173 0.327 0.250 K
0.173 0.327 0.750 K
0.327 0.827 0.250 K
0.327 0.827 0.750 K
0.673 0.173 0.250 K
0.673 0.173 0.750 K
0.827 0.673 0.250 K
0.827 0.673 0.750 K
0.000 0.000 0.000 Rh
0.500 0.500 0.500 Rh
0.000 0.000 0.272 Cl
0.000 0.000 0.728 Cl
0.090 0.708 0.000 Cl
0.208 0.590 0.500 Cl
0.292 0.090 0.000 Cl
0.410 0.208 0.500 Cl
0.500 0.500 0.228 Cl
0.500 0.500 0.772 Cl
0.590 0.792 0.500 Cl
0.708 0.910 0.000 Cl
0.792 0.410 0.500 Cl
0.910 0.292 0.000 Cl
```



Entry 5:
Structure and calculated powder X-ray diffraction pattern of Sr2ErGaCu2O7 (DFT lattice parameters and positions (PBE); Cu Kα (weighted mean of Kα1 and Kα2)).
Kinematic intensities with the Lorentz-polarization factor, no thermal factor.

Main lines, sorted by position (15 to 90 degrees two-theta):
Position (°2θ)	d_spacing	intensity
23.07	3.856	9.5
24.34	3.657	9.5
32.55	2.751	28.9
32.81	2.730	100.0
33.19	2.699	30.4
38.86	2.318	31.5
47.18	1.926	30.7
58.27	1.583	23.2
59.06	1.564	18.8
68.77	1.365	8.8

Structure:
```
Sr2ErGaCu2O7
1.0
-11.603 2.751 2.699
11.603 -2.751 2.699
11.603 2.751 -2.699
Sr Er Ga Cu O
4 2 2 4 14
Direct
0.017 0.151 0.168 Sr
0.017 0.349 0.366 Sr
0.983 0.651 0.634 Sr
0.983 0.849 0.832 Sr
0.004 0.004 0.000 Er
0.004 0.504 0.500 Er
0.392 0.712 0.180 Ga
0.531 0.212 0.820 Ga
0.503 0.575 0.069 Cu
0.503 0.934 0.429 Cu
0.505 0.075 0.571 Cu
0.505 0.434 0.931 Cu
0.005 0.186 0.697 O
0.005 0.325 0.805 O
0.005 0.700 0.180 O
0.005 0.807 0.318 O
0.221 0.858 0.863 O
0.485 0.204 0.633 O
0.485 0.351 0.781 O
0.489 0.307 0.303 O
0.489 0.686 0.682 O
0.520 0.200 0.195 O
0.520 0.825 0.820 O
0.571 0.704 0.219 O
0.571 0.851 0.367 O
0.995 0.358 0.137 O
```



Entry 6:
Structure and calculated powder X-ray diffraction pattern of KTaBi2O6 (DFT lattice parameters and positions (PBE); Cu Kα (weighted mean of Kα1 and Kα2)).
Kinematic intensities with the Lorentz-polarization factor, no thermal factor.

Main lines, sorted by position (15 to 90 degrees two-theta):
Position (°2θ)	d_spacing	intensity
18.52	4.791	40.7
22.15	4.013	74.3
26.42	3.374	65.1
27.84	3.205	58.4
28.09	3.177	83.4
29.49	3.029	60.4
30.37	2.943	54.9
30.57	2.925	100.0
40.04	2.252	49.0
51.19	1.784	57.0

Structure:
```
KTaBi2O6
1.0
5.360 -5.147 0.000
5.360 5.147 0.000
-0.237 0.000 6.410
K Ta Bi O
2 2 4 12
Direct
0.079 0.921 0.750 K
0.921 0.079 0.250 K
0.274 0.726 0.250 Ta
0.726 0.274 0.750 Ta
0.223 0.452 0.670 Bi
0.452 0.223 0.170 Bi
0.548 0.777 0.830 Bi
0.777 0.548 0.330 Bi
0.023 0.735 0.312 O
0.265 0.977 0.188 O
0.272 0.647 0.954 O
0.278 0.430 0.305 O
0.353 0.728 0.546 O
0.430 0.278 0.805 O
0.570 0.722 0.195 O
0.647 0.272 0.454 O
0.722 0.570 0.695 O
0.728 0.353 0.046 O
0.735 0.023 0.812 O
0.977 0.265 0.688 O
```